CsMg6SiO8: computed XRD peak list (Cu Kα (λ = 1.5418 Å)), based on the GGA-PBE geometry in Alexandria.
Intensities are scaled so that the largest is 100.

Most intense lines, 10 to 90 degrees two-theta, low angle first:
2θ 11.96, 7.402 Å, rel. 53, (0 0 1); 2θ 27.34, 3.262 Å, rel. 68, (0 1 -2); 2θ 27.51, 3.242 Å, rel. 100, (0 1 2); 2θ 27.66, 3.225 Å, rel. 67, (1 1 -1); 2θ 34.84, 2.575 Å, rel. 47, (1 1 -2); 2θ 42.95, 2.106 Å, rel. 78, (2 0 0)

Structural model:
```
CsMg6SiO8
1.0
4.2119 0.0000 0.0000
-0.0556 6.8205 0.0000
-0.0030 -0.0496 7.4022
Cs Mg Si O
1 6 1 8
Cartesian
0.0000 0.0000 0.0000 Cs
2.0094 5.0440 2.0577 Mg
2.0092 5.0693 5.2795 Mg
2.0417 1.6988 3.6442 Mg
4.1067 6.3648 3.6625 Mg
4.1477 3.0481 1.9702 Mg
4.1486 3.0656 5.3021 Mg
2.1827 3.0913 7.3335 Si
2.0154 2.9401 1.8757 O
1.9984 4.7523 7.3666 O
2.0155 2.9639 5.3908 O
2.0010 6.4632 3.6545 O
3.8260 2.6888 7.3281 O
4.1146 5.0257 2.1978 O
4.1145 5.0613 5.1551 O
4.1457 1.7583 3.6411 O
```

=====

SiPOsRuC: computed XRD peak list (Cu Kα (λ = 1.5418 Å)), based on the GGA-PBE geometry in Alexandria.
Intensities are scaled so that the largest is 100.

Most intense lines, 10 to 90 degrees two-theta, low angle first:
2θ 16.30, 5.439 Å, rel. 79, (0 0 1); 2θ 23.72, 3.751 Å, rel. 74, (2 0 0); 2θ 30.80, 2.903 Å, rel. 71, (2 0 -2); 2θ 34.26, 2.617 Å, rel. 100, (1 1 -1); 2θ 39.25, 2.295 Å, rel. 65, (1 1 1); 2θ 44.80, 2.023 Å, rel. 93, (3 1 -1)

Structural model:
```
SiPOsRuC
1.0
8.3848 0.0000 0.0000
0.0000 2.9323 0.0000
-2.7167 0.0000 5.4390
Si P Os Ru C
2 2 2 2 2
Cartesian
0.0000 0.0000 0.0000 Si
4.1924 1.4661 0.0000 Si
2.2500 0.0000 2.4425 P
6.4424 1.4661 2.4425 P
-0.1023 0.0000 2.7193 Os
4.0901 1.4661 2.7193 Os
1.7444 1.4661 0.6785 Ru
5.9368 0.0000 0.6785 Ru
0.1012 1.4661 4.2212 C
4.2936 0.0000 4.2212 C
```

=====

Ac2PmTeO8: computed XRD peak list (Cu Kα (λ = 1.5418 Å)), based on the GGA-PBE geometry in Alexandria.
Intensities are scaled so that the largest is 100.

Most intense lines, 10 to 90 degrees two-theta, low angle first:
2θ 24.35, 3.655 Å, rel. 74, (1 0 -1); 2θ 26.34, 3.384 Å, rel. 59, (1 0 1); 2θ 28.82, 3.098 Å, rel. 100, (0 2 1); 2θ 31.35, 2.854 Å, rel. 56, (1 2 0); 2θ 43.92, 2.062 Å, rel. 41, (1 2 -2); 2θ 49.18, 1.853 Å, rel. 36, (0 4 0)

Structural model:
```
Ac2PmTeO8
1.0
4.4925 0.0000 0.0000
0.0000 7.4051 0.0000
-0.4489 0.0000 5.6579
Ac Pm Te O
2 1 1 8
Cartesian
0.0000 1.8091 0.0000 Ac
0.0000 5.5961 0.0000 Ac
2.0218 3.7026 2.8289 Pm
2.0218 0.0000 2.8289 Te
0.1823 3.7026 1.4268 O
0.3039 0.0000 1.9164 O
1.6289 1.4823 4.1013 O
1.6289 5.9228 4.1013 O
2.4147 1.4823 1.5566 O
2.4147 5.9228 1.5566 O
3.7397 0.0000 3.7415 O
3.8613 3.7026 4.2311 O
```